No. 1
Calculated XRD peak list
Compound: La5Ho2Er12
Radiation: Cu Kα, 1.54184 Å
Structure: DFT lattice parameters and positions (PBE)
Peak positions follow from Bragg's law for the DFT cell and can differ from measured ones.

Cell and atoms:
```
data_La5Ho2Er12
_chemical_formula_sum 'La10 Ho4 Er24'
_symmetry_space_group_name_H-M 'C 1 2/m 1'
_symmetry_Int_Tables_number 12
_symmetry_space_group_name_Hall '-C 2y'
_cell_length_a 15.6839
_cell_length_b 9.2602
_cell_length_c 8.6751
_cell_angle_alpha 90.00
_cell_angle_beta 92.69
_cell_angle_gamma 90.00
loop_
_atom_site_label
_atom_site_fract_x
_atom_site_fract_y
_atom_site_fract_z
_atom_site_occupancy
La1 0.0000 0.0000 0.0000 1
La2 0.2110 0.5000 0.5217 1
La3 0.2322 0.0000 0.0713 1
Ho1 0.0000 0.3262 0.5000 1
Er1 0.0538 0.5000 0.8374 1
Er2 0.0706 0.0000 0.3769 1
Er3 0.1302 0.3094 0.1733 1
Er4 0.1449 0.1787 0.7417 1
```

The 10 most intense peaks (2θ from 10° to 90°), by angle:
2θ/deg	d/Å	I_rel
28.21	3.164	19
29.88	2.990	27
30.09	2.970	48
31.21	2.865	20
31.41	2.848	100
31.50	2.840	54
32.72	2.737	48
35.57	2.524	37
58.62	1.575	20
59.43	1.555	15

No. 2
Calculated XRD peak list
Compound: LaHo5Er4
Radiation: Cu Kα, 1.54184 Å
Structure: DFT lattice parameters and positions (PBE)
Peak positions follow from Bragg's law for the DFT cell and can differ from measured ones.

Cell and atoms:
```
data_LaHo5Er4
_chemical_formula_sum 'La1 Ho5 Er4'
_symmetry_space_group_name_H-M 'P -1'
_symmetry_Int_Tables_number 2
_symmetry_space_group_name_Hall '-P 1'
_cell_length_a 3.5465
_cell_length_b 6.5882
_cell_length_c 14.2112
_cell_angle_alpha 99.26
_cell_angle_beta 94.14
_cell_angle_gamma 102.85
loop_
_atom_site_label
_atom_site_fract_x
_atom_site_fract_y
_atom_site_fract_z
_atom_site_occupancy
La1 0.0000 0.0000 0.0000 1
Ho1 0.2059 0.8827 0.5838 1
Ho2 0.4990 0.5715 0.3866 1
Ho3 0.5000 0.5000 0.0000 1
Er1 0.1038 0.8020 0.2175 1
Er2 0.2225 0.7357 0.8013 1
```

The 10 most intense peaks (2θ from 10° to 90°), by angle:
2θ/deg	d/Å	I_rel
29.26	3.052	62
31.21	2.865	100
32.11	2.787	85
32.49	2.756	79
33.02	2.713	73
33.21	2.698	77
33.67	2.662	25
34.54	2.596	24
42.02	2.150	23
50.35	1.812	28